Record 1
Diffraction record for AcMg2InPd4. The X-ray diffraction stick pattern is calculated, not measured: it uses a crystal structure in Alexandria, relaxed with GGA-PBE and Cu Kα X-rays.
Lines closer than 0.1° are merged.

Top 10 peaks for 2θ = 10–80°, sorted by position:
d_spacing  2θ/deg  Rel. int.  h k l
3.781  23.53  69  0 1 2
3.193  27.94  16  0 1 5
2.772  32.30  26  1 0 7
2.580  34.78  89  0 1 8
2.272  39.68  100  1 1 0
2.245  40.17  34  1 0 10
1.705  53.77  26  2 0 8
1.421  65.69  14  1 1 15
1.364  68.86  24  1 2 8
1.312  72.00  17  3 0 0

Structure:
Unit cell a=4.5432 b=4.5432 c=27.3330 alpha=90.00 beta=90.00 gamma=120.00
Space group R-3m (No. 166, hexagonal axes)
Symmetry-distinct sites (fractional):
Ac 0.0000 0.0000 0.0000 [3 per cell]
Mg 0.0000 0.0000 0.2344 [6 per cell]
In 0.0000 0.0000 0.5000 [3 per cell]
Pd 0.0000 0.0000 0.1281 [6 per cell]
Pd 0.0000 0.0000 0.4007 [6 per cell]

Record 2
Diffraction record for TbAl2Pt4. The X-ray diffraction stick pattern is calculated, not measured: it uses a crystal structure in Alexandria, relaxed with GGA-PBE and Cu Kα X-rays.
Lines closer than 0.1° are merged.

Top 10 peaks for 2θ = 10–80°, sorted by position:
d_spacing  2θ/deg  Rel. int.  h k l
3.617  24.62  23  0 1 1
3.444  25.87  26  1 0 2
2.667  33.61  24  1 1 2
2.568  34.94  20  2 1 2
2.436  36.90  100  5 1 1
2.425  37.08  29  3 1 2
2.301  39.15  16  6 1 0
2.107  42.92  44  0 2 0
2.090  43.30  19  5 1 2
1.990  45.58  31  2 1 3

Structure:
Unit cell a=16.481 b=4.215 c=7.042 alpha=90.00 beta=90.00 gamma=90.00
Space group Pnma (No. 62)
Symmetry-distinct sites (fractional):
Tb 0.147 0.250 0.058 [4 per cell]
Al 0.024 0.750 0.251 [4 per cell]
Al 0.195 0.250 0.605 [4 per cell]
Pt 0.043 0.750 0.894 [4 per cell]
Pt 0.056 0.250 0.447 [4 per cell]
Pt 0.174 0.750 0.384 [4 per cell]
Pt 0.212 0.750 0.808 [4 per cell]